Record 1
# MgSb4O10
Simulated powder XRD pattern, CuKα. Input: a PBE-relaxed structure.

Largest 8 diffraction maxima, low angle first, 2θ from 15° to 90°:
2θ 23.3, d = 3.816 Å, rel. 76; 2θ 23.5, d = 3.793 Å, rel. 92; 2θ 23.9, d = 3.720 Å, rel. 100; 2θ 26.2, d = 3.403 Å, rel. 40; 2θ 32.3, d = 2.768 Å, rel. 33; 2θ 33.8, d = 2.655 Å, rel. 64; 2θ 35.1, d = 2.557 Å, rel. 35; 2θ 48.0, d = 1.895 Å, rel. 25

Structural model:
Cell: 5.315 5.466 8.105 Å, 106.28 106.23 90.16°
Sites, in units of the cell vectors:
1 Mg 0.000 0.000 0.000
2 Sb 0.075 0.661 0.221
3 Sb 0.370 0.763 0.710
4 Sb 0.586 0.194 0.270
5 Sb 0.885 0.295 0.740
6 O 0.102 0.449 0.638
7 O 0.107 0.008 0.777
8 O 0.247 0.336 0.158
9 O 0.301 0.785 0.465
10 O 0.340 0.876 0.150
11 O 0.587 0.260 0.519
12 O 0.677 0.127 0.848
13 O 0.771 0.501 0.264
14 O 0.883 0.993 0.224
15 O 0.914 0.608 0.949

---

Record 2
# Mg3Si4O12
Simulated powder XRD pattern, CuKα. Input: a PBE-relaxed structure.

Largest 8 diffraction maxima, low angle first, 2θ from 15° to 90°:
2θ 19.1, d = 4.640 Å, rel. 59; 2θ 19.3, d = 4.591 Å, rel. 42; 2θ 20.4, d = 4.362 Å, rel. 29; 2θ 21.3, d = 4.172 Å, rel. 59; 2θ 27.9, d = 3.193 Å, rel. 100; 2θ 35.4, d = 2.538 Å, rel. 37; 2θ 35.7, d = 2.514 Å, rel. 44; 2θ 36.1, d = 2.487 Å, rel. 41

Structural model:
Cell: 5.330 5.382 9.685 Å, 81.49 85.87 60.42°
Sites, in units of the cell vectors:
1 Mg 0.000 0.000 0.000
2 Mg 0.322 0.355 0.000
3 Mg 0.678 0.645 0.000
4 Si 0.005 0.745 0.709
5 Si 0.327 0.590 0.291
6 Si 0.673 0.410 0.709
7 Si 0.995 0.255 0.291
8 O 0.007 0.698 0.881
9 O 0.145 0.908 0.346
10 O 0.177 0.392 0.348
11 O 0.327 0.635 0.119
12 O 0.338 0.578 0.653
13 O 0.353 0.023 0.913
14 O 0.647 0.977 0.087
15 O 0.662 0.422 0.347
16 O 0.673 0.365 0.881
17 O 0.823 0.608 0.652
18 O 0.855 0.092 0.654
19 O 0.993 0.302 0.119

---

Record 3
# SmBe13
Simulated powder XRD pattern, CuKα. Input: a PBE-relaxed structure.

Largest 8 diffraction maxima, low angle first, 2θ from 15° to 90°:
2θ 17.3, d = 5.125 Å, rel. 89; 2θ 24.6, d = 3.624 Å, rel. 100; 2θ 30.2, d = 2.959 Å, rel. 45; 2θ 35.0, d = 2.562 Å, rel. 23; 2θ 39.3, d = 2.292 Å, rel. 72; 2θ 43.2, d = 2.092 Å, rel. 61; 2θ 56.8, d = 1.621 Å, rel. 26; 2θ 68.5, d = 1.370 Å, rel. 28

Structural model:
Cell: 7.248 7.248 7.248 Å, 60.00 60.00 60.00°
Sites, in units of the cell vectors:
1 Sm 0.250 0.250 0.250
2 Sm 0.750 0.750 0.750
3 Be 0.000 0.000 0.000
4 Be 0.063 0.289 0.711
5 Be 0.063 0.711 0.937
6 Be 0.063 0.937 0.289
7 Be 0.211 0.437 0.789
8 Be 0.211 0.563 0.437
9 Be 0.211 0.789 0.563
10 Be 0.289 0.063 0.937
11 Be 0.289 0.711 0.063
12 Be 0.289 0.937 0.711
13 Be 0.437 0.211 0.563
14 Be 0.437 0.563 0.789
15 Be 0.437 0.789 0.211
16 Be 0.500 0.500 0.500
17 Be 0.563 0.211 0.789
18 Be 0.563 0.437 0.211
19 Be 0.563 0.789 0.437
20 Be 0.711 0.063 0.289
21 Be 0.711 0.289 0.937
22 Be 0.711 0.937 0.063
23 Be 0.789 0.211 0.437
24 Be 0.789 0.437 0.563
25 Be 0.789 0.563 0.211
26 Be 0.937 0.063 0.711
27 Be 0.937 0.289 0.063
28 Be 0.937 0.711 0.289

---

Repeat the second record exactly.
# Mg3Si4O12
Simulated powder XRD pattern, CuKα. Input: a PBE-relaxed structure.

Largest 8 diffraction maxima, low angle first, 2θ from 15° to 90°:
2θ 19.1, d = 4.640 Å, rel. 59; 2θ 19.3, d = 4.591 Å, rel. 42; 2θ 20.4, d = 4.362 Å, rel. 29; 2θ 21.3, d = 4.172 Å, rel. 59; 2θ 27.9, d = 3.193 Å, rel. 100; 2θ 35.4, d = 2.538 Å, rel. 37; 2θ 35.7, d = 2.514 Å, rel. 44; 2θ 36.1, d = 2.487 Å, rel. 41

Structural model:
Cell: 5.330 5.382 9.685 Å, 81.49 85.87 60.42°
Sites, in units of the cell vectors:
1 Mg 0.000 0.000 0.000
2 Mg 0.322 0.355 0.000
3 Mg 0.678 0.645 0.000
4 Si 0.005 0.745 0.709
5 Si 0.327 0.590 0.291
6 Si 0.673 0.410 0.709
7 Si 0.995 0.255 0.291
8 O 0.007 0.698 0.881
9 O 0.145 0.908 0.346
10 O 0.177 0.392 0.348
11 O 0.327 0.635 0.119
12 O 0.338 0.578 0.653
13 O 0.353 0.023 0.913
14 O 0.647 0.977 0.087
15 O 0.662 0.422 0.347
16 O 0.673 0.365 0.881
17 O 0.823 0.608 0.652
18 O 0.855 0.092 0.654
19 O 0.993 0.302 0.119